(1)
RbAsSe2: computed X-ray powder pattern (Cu Kα), based on a DFT-relaxed cell (GGA-PBE, the Materials Project).
Neutral-atom scattering factors, no anomalous dispersion.

Structural model:
```
32
Lattice="11.9238 -5.1035 0.0000 11.9238 5.1035 0.0000 -1.9995 0.0000 9.4919" Properties=species:S:1:pos:R:3 pbc="T T T"
Rb 10.4242 5.0961 7.1190
Rb 4.0572 0.7521 3.1090
Rb 3.0575 -0.7521 7.8549
Rb 10.4242 0.3535 7.1190
Rb 11.4240 -0.3535 2.3730
Rb 18.7907 0.7521 1.6370
Rb 17.7909 -0.7521 6.3830
Rb 11.4240 -5.0961 2.3730
As 8.6152 2.0349 3.3188
As 6.3694 1.4529 9.0852
As 14.2327 2.0349 1.4272
As 7.3691 -1.4529 4.3393
As 14.4791 1.4529 5.1527
As 7.6154 -2.0349 8.0647
As 15.4788 -1.4529 0.4067
As 13.2330 -2.0349 6.1732
Se 1.3584 0.8920 5.2968
Se 6.9459 2.2057 1.4803
Se 2.3581 -0.8920 0.5509
Se 10.5174 2.2172 0.0701
Se 7.2537 0.9464 5.0708
Se 12.3306 2.2172 4.6759
Se 8.2534 -0.9464 0.3249
Se 15.9020 2.2057 3.2657
Se 5.9461 -2.2057 6.2262
Se 13.5947 0.9464 9.1671
Se 9.5176 -2.2172 4.8160
Se 14.5945 -0.9464 4.4211
Se 11.3308 -2.2172 9.4219
Se 19.4901 0.8920 8.9411
Se 14.9023 -2.2057 8.0117
Se 20.4898 -0.8920 4.1951
```

Peak list (6 most intense, 2θ from 10° to 80°, low angle first)
21.65 deg, I = 24.5
21.87 deg, I = 26.7
25.62 deg, I = 23.7
26.51 deg, I = 100.0
27.85 deg, I = 57.4
34.18 deg, I = 28.1

=====

(2)
Li5TaO5: computed X-ray powder pattern (Cu Kα), based on a DFT-relaxed cell (GGA-PBE, the Materials Project).
Neutral-atom scattering factors, no anomalous dispersion.

Structural model:
```
11
Lattice="4.9388 -2.0156 0.0000 4.9388 2.0156 0.0000 -1.8958 0.0000 5.5666" Properties=species:S:1:pos:R:3 pbc="T T T"
Li 0.0000 0.0000 0.0000
Li 2.5312 0.0000 0.8650
Li 1.8239 0.0000 3.5686
Li 6.1581 0.0000 1.9979
Li 5.4507 0.0000 4.7016
Ta -0.9479 0.0000 2.7833
O 0.8064 0.0000 1.8144
O 0.0021 0.0000 4.5447
O 3.9910 0.0000 2.7833
O 7.9798 0.0000 1.0219
O 7.1756 0.0000 3.7522
```

Peak list (6 most intense, 2θ from 10° to 80°, low angle first)
15.92 deg, I = 100.0
18.98 deg, I = 45.8
20.49 deg, I = 54.3
24.04 deg, I = 82.8
27.17 deg, I = 37.3
30.66 deg, I = 26.7

=====

(3)
TiZnO6F6: computed X-ray powder pattern (Cu Kα), based on a DFT-relaxed cell (GGA-PBE, the Materials Project).
Neutral-atom scattering factors, no anomalous dispersion.

Structural model:
```
28
Lattice="5.9801 0.0000 0.0000 0.0000 9.0051 0.0000 -1.4271 0.0000 7.4955" Properties=species:S:1:pos:R:3 pbc="T T T"
Ti 0.0000 0.0000 0.0000
Ti -0.7135 4.5026 3.7477
Zn 2.2765 0.0000 3.7477
Zn 2.9900 4.5026 0.0000
O 0.7664 1.2674 3.5276
O 0.0529 3.2352 7.2753
O 0.6401 6.1214 6.8139
O 1.3536 7.3863 3.0662
O 2.1360 4.8516 1.7633
O 1.4225 8.6561 5.5110
O 3.1305 0.3490 1.9844
O 2.4170 4.1536 5.7322
O 3.1994 1.6188 4.4293
O 3.9129 2.8837 0.6816
O 4.5002 5.7699 0.2201
O 3.7866 7.7378 3.9679
F -0.0843 4.9541 2.0213
F -0.7978 8.5536 5.7691
F 0.1902 5.9737 4.5172
F 0.9037 7.5339 0.7695
F 1.5468 1.0542 0.3052
F 0.8333 3.4484 4.0530
F 3.7197 5.5567 3.4425
F 3.0062 7.9509 7.1903
F 3.6493 1.4712 6.7260
F 4.3628 3.0314 2.9782
F 5.3508 0.4516 1.7264
F 4.6373 4.0510 5.4741
```

Peak list (6 most intense, 2θ from 10° to 80°, low angle first)
19.72 deg, I = 54.3
19.98 deg, I = 100.0
23.12 deg, I = 69.9
23.74 deg, I = 34.4
36.54 deg, I = 46.3
36.64 deg, I = 33.2

=====

Question: Which formula does entry 2 have?
Answer: Li5TaO5